For Tm2Ga2Ni3, a DFT-relaxed cell (GGA-PBE, Alexandria) gives the calculated powder diffractogram in this record (CuKα).

Crystal structure
```
Tm2Ga2Ni3
1.0
-3.9700 3.9700 3.9700
3.9700 -3.9700 3.9700
3.9700 3.9700 -3.9700
Tm Ga Ni
4 4 6
direct
0.0000 0.5072 0.5000
0.5000 0.0000 0.5072
0.5072 0.5000 0.0000
0.9928 0.9928 0.9928
0.0000 0.9183 0.5000
0.5000 0.0000 0.9183
0.5817 0.5817 0.5817
0.9183 0.5000 0.0000
0.0305 0.2805 0.7500
0.2195 0.2500 0.4695
0.2500 0.4695 0.2195
0.2805 0.7500 0.0305
0.4695 0.2195 0.2500
0.7500 0.0305 0.2805
```

Peak list (8 most intense, 15° ≤ 2θ ≤ 90°, by angle)
Position (°2θ)  intensity
22.4  17
31.9  100
39.3  46
42.6  24
45.7  44
56.8  32
66.6  23
80.2  22